[1]
Starting from a structure optimized by DFT (GGA-PBE), the powder X-ray diffraction pattern of Mg5CdIn2Ir2 was computed for copper Kα.
Intensities are scaled so that the largest is 100.

Cell and atoms:
a b c (Å): 9.621 9.621 4.302
angles (deg): 90.00 90.00 90.00
Fractional positions:
Mg  0.000  0.500  0.000
Mg  0.079  0.210  0.000
Mg  0.210  0.921  0.000
Mg  0.290  0.421  0.000
Mg  0.421  0.710  0.000
Mg  0.500  0.000  0.000
Mg  0.579  0.290  0.000
Mg  0.710  0.579  0.000
Mg  0.790  0.079  0.000
Mg  0.921  0.790  0.000
Cd  0.000  0.000  0.500
Cd  0.500  0.500  0.500
In  0.172  0.672  0.500
In  0.328  0.172  0.500
In  0.672  0.828  0.500
In  0.828  0.328  0.500
Ir  0.120  0.380  0.500
Ir  0.380  0.880  0.500
Ir  0.620  0.120  0.500
Ir  0.880  0.620  0.500

Main lines, sorted by position (5° ≤ 2θ ≤ 70°):
| d (Å) | I_rel |
| --- | --- |
| 6.803 | 26 |
| 4.302 | 100 |
| 3.636 | 11 |
| 3.042 | 52 |
| 2.668 | 32 |
| 2.484 | 100 |
| 2.333 | 17 |
| 2.268 | 58 |
| 2.151 | 35 |
| 2.099 | 21 |
| 1.756 | 20 |
| 1.582 | 32 |

[2]
Starting from a structure optimized by DFT (GGA-PBE), the powder X-ray diffraction pattern of KBaCd2H6 was computed for copper Kα.
Intensities are scaled so that the largest is 100.

Cell and atoms:
a b c (Å): 7.632 7.632 7.632
angles (deg): 44.83 44.83 44.83
Fractional positions:
K  0.000  0.000  0.000
Ba  0.500  0.500  0.500
Cd  0.254  0.254  0.254
Cd  0.746  0.746  0.746
H  0.070  0.683  0.464
H  0.317  0.536  0.930
H  0.464  0.070  0.683
H  0.536  0.930  0.317
H  0.683  0.464  0.070
H  0.930  0.317  0.536

Main lines, sorted by position (5° ≤ 2θ ≤ 70°):
| d (Å) | I_rel |
| --- | --- |
| 4.896 | 12 |
| 3.599 | 100 |
| 2.910 | 56 |
| 2.289 | 30 |
| 2.263 | 28 |
| 1.799 | 16 |
| 1.786 | 26 |
| 1.680 | 11 |
| 1.530 | 15 |
| 1.476 | 13 |
| 1.455 | 6 |
| 1.349 | 10 |

[3]
Starting from a structure optimized by DFT (GGA-PBE), the powder X-ray diffraction pattern of SmHoSi4 was computed for copper Kα.
Intensities are scaled so that the largest is 100.

Cell and atoms:
a b c (Å): 8.309 14.570 4.087
angles (deg): 90.00 90.00 90.00
Fractional positions:
Sm  0.111  0.134  0.000
Sm  0.389  0.634  0.000
Sm  0.611  0.366  0.000
Sm  0.889  0.866  0.000
Ho  0.141  0.413  0.000
Ho  0.359  0.913  0.000
Ho  0.641  0.087  0.000
Ho  0.859  0.587  0.000
Si  0.034  0.290  0.500
Si  0.122  0.563  0.500
Si  0.128  0.967  0.500
Si  0.184  0.806  0.500
Si  0.316  0.306  0.500
Si  0.372  0.467  0.500
Si  0.378  0.063  0.500
Si  0.466  0.790  0.500
Si  0.534  0.210  0.500
Si  0.622  0.937  0.500
Si  0.628  0.533  0.500
Si  0.684  0.694  0.500
Si  0.816  0.194  0.500
Si  0.872  0.033  0.500
Si  0.878  0.437  0.500
Si  0.966  0.710  0.500

Main lines, sorted by position (5° ≤ 2θ ≤ 70°):
| d (Å) | I_rel |
| --- | --- |
| 4.087 | 40 |
| 3.995 | 58 |
| 3.643 | 34 |
| 3.157 | 47 |
| 2.927 | 21 |
| 2.857 | 86 |
| 2.719 | 64 |
| 2.585 | 38 |
| 2.498 | 100 |
| 2.077 | 20 |
| 2.044 | 31 |
| 1.651 | 20 |

[4]
Starting from a structure optimized by DFT (GGA-PBE), the powder X-ray diffraction pattern of NaSbCl6 was computed for copper Kα.
Intensities are scaled so that the largest is 100.

Cell and atoms:
a b c (Å): 6.684 6.684 10.800
angles (deg): 90.00 90.00 90.00
Fractional positions:
Na  0.000  0.000  0.250
Na  0.000  0.000  0.750
Sb  0.000  0.500  0.000
Sb  0.500  0.000  0.500
Cl  0.205  0.209  0.500
Cl  0.208  0.351  0.158
Cl  0.208  0.351  0.842
Cl  0.209  0.795  0.000
Cl  0.351  0.792  0.342
Cl  0.351  0.792  0.658
Cl  0.649  0.208  0.342
Cl  0.649  0.208  0.658
Cl  0.791  0.205  0.000
Cl  0.792  0.649  0.158
Cl  0.792  0.649  0.842
Cl  0.795  0.791  0.500

Main lines, sorted by position (5° ≤ 2θ ≤ 70°):
| d (Å) | I_rel |
| --- | --- |
| 5.684 | 100 |
| 5.400 | 11 |
| 4.726 | 17 |
| 3.557 | 23 |
| 2.989 | 10 |
| 2.881 | 20 |
| 2.864 | 24 |
| 2.363 | 12 |
| 2.300 | 21 |
| 1.968 | 16 |
| 1.895 | 12 |
| 1.827 | 11 |

[5]
Starting from a structure optimized by DFT (GGA-PBE), the powder X-ray diffraction pattern of AlGeAu5 was computed for copper Kα.
Intensities are scaled so that the largest is 100.

Cell and atoms:
a b c (Å): 5.497 5.497 9.077
angles (deg): 98.20 98.20 88.59
Fractional positions:
Al  0.044  0.956  0.750
Al  0.956  0.044  0.250
Ge  0.500  0.500  0.000
Ge  0.500  0.500  0.500
Au  0.085  0.241  0.012
Au  0.159  0.483  0.740
Au  0.241  0.085  0.512
Au  0.305  0.695  0.250
Au  0.483  0.159  0.240
Au  0.517  0.841  0.760
Au  0.695  0.305  0.750
Au  0.759  0.915  0.488
Au  0.841  0.517  0.260
Au  0.915  0.759  0.988

Main lines, sorted by position (5° ≤ 2θ ≤ 70°):
| d (Å) | I_rel |
| --- | --- |
| 4.963 | 28 |
| 3.709 | 46 |
| 2.906 | 100 |
| 2.505 | 81 |
| 2.473 | 52 |
| 2.331 | 52 |
| 2.307 | 35 |
| 2.245 | 35 |
| 2.224 | 76 |
| 2.162 | 49 |
| 1.985 | 32 |
| 1.716 | 36 |